[1]
# ZrBiAs
Simulated powder diffraction line list, Cu Kα (weighted mean of Kα1 and Kα2). Input: a GGA-PBE-relaxed structure.

Peak list (10 most intense, 2θ = 15–90°, in order of rising 2θ)
2theta  intensity  h k l
32.01  100  1 1 1
32.33  36  0 0 3
37.22  66  1 1 2
43.09  38  2 0 0
53.87  19  1 1 4
54.88  32  2 0 3
62.57  13  2 2 0
72.03  20  3 1 1
72.20  14  2 2 3
75.11  18  3 1 2

a = 4.1988 Å, b = 4.1988 Å, c = 8.3080 Å
α = 90.00°, β = 90.00°, γ = 90.00°
Space group P4/nmm (No. 129, origin choice 2)
Inequivalent atoms, fractional coordinates:
Zr 0.2500 0.2500 0.1959 x2
Bi 0.2500 0.7500 0.5000 x2
As 0.2500 0.2500 0.8662 x2



[2]
# Ta2CuHg2Se6
Simulated powder diffraction line list, Cu Kα (weighted mean of Kα1 and Kα2). Input: a GGA-PBE-relaxed structure.

Peak list (10 most intense, 2θ = 15–90°, in order of rising 2θ)
2theta  intensity  h k l
16.08  84  0 2 0
18.73  42  0 2 1
19.18  77  0 0 2
25.12  58  0 2 2
30.28  81  2 0 0
32.01  100  1 3 -2
34.48  40  2 2 0
37.68  54  1 3 -3
44.07  47  0 4 3
50.64  40  0 6 1

a = 6.1752 Å, b = 11.0268 Å, c = 9.6843 Å
α = 90.00°, β = 107.08°, γ = 90.00°
Space group C2/m (No. 12)
Inequivalent atoms, fractional coordinates:
Ta 0.0000 0.1632 0.0000 x4
Cu 0.0000 0.5000 0.0000 x2
Hg 0.0000 0.2459 0.5000 x4
Se 0.0877 0.3308 0.8346 x8
Se 0.0898 0.0000 0.8320 x4



[3]
# DyY2Tm4Mg
Simulated powder diffraction line list, Cu Kα (weighted mean of Kα1 and Kα2). Input: a GGA-PBE-relaxed structure.

Peak list (10 most intense, 2θ = 15–90°, in order of rising 2θ)
2theta  intensity  h k l
15.36  14  2 0 0
31.01  28  4 0 0
31.78  100  2 0 -4
32.82  11  2 0 3
34.51  55  3 1 -2
40.60  12  2 0 4
50.06  10  0 2 0
54.84  13  1 1 -6
60.23  17  5 1 -6
60.55  11  2 2 -4

a = 12.0879 Å, b = 3.6445 Å, c = 11.4312 Å
α = 90.00°, β = 107.39°, γ = 90.00°
Space group C2/m (No. 12)
Inequivalent atoms, fractional coordinates:
Dy 0.0000 0.0000 0.0000 x2
Y 0.0242 0.5000 0.2738 x4
Tm 0.2180 0.5000 0.6088 x4
Tm 0.2377 0.0000 0.8676 x4
Mg 0.0000 0.0000 0.5000 x2



[4]
# Ge3P2S
Simulated powder diffraction line list, Cu Kα (weighted mean of Kα1 and Kα2). Input: a GGA-PBE-relaxed structure.

Peak list (10 most intense, 2θ = 15–90°, in order of rising 2θ)
2theta  intensity  h k l
15.21  32  0 1 1
27.77  90  1 0 1
28.30  100  0 3 1
35.48  16  1 3 0
36.79  53  1 1 2
44.26  71  1 3 2
49.74  32  1 2 3
50.41  20  2 0 0
58.66  20  1 4 3
58.81  24  2 3 1

a = 3.6208 Å, b = 10.6115 Å, c = 6.9671 Å
α = 90.00°, β = 90.00°, γ = 90.00°
Space group Imm2 (No. 44)
Inequivalent atoms, fractional coordinates:
Ge 0.0000 0.0000 0.0000 x2
Ge 0.0000 0.3616 0.1264 x4
P 0.0000 0.1975 0.8431 x4
S 0.0000 0.5000 0.7065 x2



[5]
# Pm12Pr2Tm
Simulated powder diffraction line list, Cu Kα (weighted mean of Kα1 and Kα2). Input: a GGA-PBE-relaxed structure.

Peak list (10 most intense, 2θ = 15–90°, in order of rising 2θ)
2theta  intensity  h k l
20.34  24  1 1 2
28.03  42  2 0 2
29.13  29  2 0 3
30.62  37  2 0 4
31.24  100  1 1 7
31.70  33  0 0 9
33.58  27  2 1 4
35.26  23  2 1 5
38.73  31  2 2 0
54.83  25  3 1 9

a = 6.5765 Å, b = 6.5765 Å, c = 25.4002 Å
α = 90.00°, β = 90.00°, γ = 90.00°
Space group P4/nbm (No. 125, origin choice 2)
Inequivalent atoms, fractional coordinates:
Pm 0.0637 0.5637 0.1124 x8
Pm 0.0826 0.5826 0.5618 x8
Pm 0.2500 0.2500 0.2137 x4
Pm 0.2500 0.2500 0.3377 x4
Pr 0.2500 0.7500 0.2663 x4
Tm 0.2500 0.7500 0.0000 x2



[6]
# Ac8Pr4Mg
Simulated powder diffraction line list, Cu Kα (weighted mean of Kα1 and Kα2). Input: a GGA-PBE-relaxed structure.

Peak list (10 most intense, 2θ = 15–90°, in order of rising 2θ)
2theta  intensity  h k l
18.36  12  0 0 3
21.24  29  2 0 2
30.21  100  2 2 0
37.22  9  0 4 2
43.25  19  4 0 4
48.66  13  4 2 2
53.63  31  6 0 0
53.73  10  2 0 8
71.28  17  6 2 4
87.12  16  8 2 0

a = 11.8432 Å, b = 11.8432 Å, c = 14.4721 Å
α = 90.00°, β = 90.00°, γ = 120.00°
Space group R-3m (No. 166, hexagonal axes)
Inequivalent atoms, fractional coordinates:
Ac 0.0000 0.0000 0.2449 x6
Ac 0.0063 0.5032 0.7481 x18
Pr 0.0000 0.0000 0.0000 x3
Pr 0.0000 0.5000 0.0000 x9
Mg 0.0000 0.0000 0.5000 x3